Entry 1:
Theoretical powder X-ray diffraction pattern of DyAgSe2 for Cu Kα X-rays, from a cell relaxed with PBE.
Lines closer than 0.1° are merged.

Principal peaks in the range 2θ from 5° to 70°, by intensity:
2θ = 27.9°, I = 1000
2θ = 37.1°, I = 931
2θ = 36.2°, I = 577
2θ = 45.2°, I = 552
2θ = 31.5°, I = 521
2θ = 44.9°, I = 436
2θ = 24.6°, I = 356
2θ = 32.7°, I = 352
2θ = 49.1°, I = 333
2θ = 34.3°, I = 296
2θ = 41.2°, I = 273
2θ = 21.9°, I = 266

```
16
Lattice="4.251 0.000 0.000 0.000 6.817 0.000 0.000 0.000 13.780" Properties=species:S:1:pos:R:3 pbc="T T T"
Dy 0.929 1.400 5.145
Dy 1.196 5.417 12.035
Dy 3.055 2.008 8.635
Dy 3.321 4.809 1.745
Ag 0.028 4.803 5.115
Ag 2.098 2.014 12.005
Ag 2.153 5.423 8.665
Ag 4.223 1.394 1.775
Se 0.933 0.611 10.009
Se 0.963 3.361 7.249
Se 1.163 3.456 0.359
Se 1.193 6.206 3.119
Se 3.058 2.798 3.771
Se 3.088 0.047 6.531
Se 3.288 6.770 13.421
Se 3.318 4.019 10.661
```

=====

Entry 2:
Theoretical powder X-ray diffraction pattern of DyAgSnTeSe2 for Cu Kα X-rays, from a cell relaxed with PBE.
Lines closer than 0.1° are merged.

Principal peaks in the range 2θ from 5° to 70°, by intensity:
2θ = 33.1°, I = 1000
2θ = 29.9°, I = 398
2θ = 32.3°, I = 287
2θ = 12.6°, I = 238
2θ = 43.8°, I = 206
2θ = 45.8°, I = 167
2θ = 42.1°, I = 161
2θ = 50.6°, I = 140
2θ = 55.4°, I = 123
2θ = 65.2°, I = 103
2θ = 27.2°, I = 94
2θ = 20.4°, I = 86

```
12
Lattice="2.068 -7.032 0.000 2.068 7.032 0.000 0.000 0.000 11.095" Properties=species:S:1:pos:R:3 pbc="T T T"
Dy 0.000 0.000 0.000
Dy 0.000 0.000 5.548
Ag 2.068 0.359 8.322
Ag 2.068 -0.359 2.774
Sn 2.068 4.043 2.774
Sn 2.068 -4.043 8.322
Te 2.068 5.494 8.322
Te 2.068 -5.494 2.774
Se 2.068 1.932 6.200
Se 2.068 1.932 10.443
Se 2.068 -1.932 0.652
Se 2.068 -1.932 4.895
```

=====

Entry 3:
Theoretical powder X-ray diffraction pattern of SrDyAgTeSe2 for Cu Kα X-rays, from a cell relaxed with PBE.
Lines closer than 0.1° are merged.

Principal peaks in the range 2θ from 5° to 70°, by intensity:
2θ = 32.6°, I = 1000
2θ = 12.1°, I = 538
2θ = 29.4°, I = 481
2θ = 41.2°, I = 339
2θ = 32.5°, I = 306
2θ = 43.4°, I = 231
2θ = 27.2°, I = 161
2θ = 50.5°, I = 154
2θ = 44.7°, I = 153
2θ = 55.3°, I = 136
2θ = 64.1°, I = 102
2θ = 34.8°, I = 100

```
12
Lattice="2.083 -7.298 0.000 2.083 7.298 0.000 0.000 0.000 11.017" Properties=species:S:1:pos:R:3 pbc="T T T"
Sr 2.083 4.091 8.263
Sr 2.083 -4.091 2.754
Dy 0.000 0.000 0.000
Dy 0.000 0.000 5.508
Ag 2.083 0.319 2.754
Ag 2.083 -0.319 8.263
Te 2.083 5.789 2.754
Te 2.083 -5.789 8.263
Se 2.083 1.927 0.663
Se 2.083 1.927 4.845
Se 2.083 -1.927 6.172
Se 2.083 -1.927 10.354
```

=====

Entry 4:
Theoretical powder X-ray diffraction pattern of Dy2Ag2Te3Se for Cu Kα X-rays, from a cell relaxed with PBE.
Lines closer than 0.1° are merged.

Principal peaks in the range 2θ from 5° to 70°, by intensity:
2θ = 32.1°, I = 1000
2θ = 35.4°, I = 965
2θ = 43.4°, I = 950
2θ = 26.2°, I = 865
2θ = 37.0°, I = 826
2θ = 43.6°, I = 795
2θ = 26.9°, I = 663
2θ = 34.3°, I = 629
2θ = 32.3°, I = 465
2θ = 26.6°, I = 432
2θ = 52.2°, I = 430
2θ = 35.2°, I = 428

```
8
Lattice="4.856 -5.065 0.000 4.856 5.065 0.000 -0.045 0.000 4.577" Properties=species:S:1:pos:R:3 pbc="T T T"
Dy 0.000 0.000 0.000
Dy 5.104 0.000 1.719
Ag 2.635 2.509 0.941
Ag 2.635 -2.509 0.941
Te 2.103 0.000 2.233
Te 5.024 2.078 4.086
Te 5.024 -2.078 4.086
Se 7.905 0.000 2.167
```

=====

Entry 5:
Theoretical powder X-ray diffraction pattern of DyYAg2Se4 for Cu Kα X-rays, from a cell relaxed with PBE.
Lines closer than 0.1° are merged.

Principal peaks in the range 2θ from 5° to 70°, by intensity:
2θ = 27.8°, I = 1000
2θ = 37.6°, I = 958
2θ = 36.3°, I = 904
2θ = 33.7°, I = 695
2θ = 45.4°, I = 552
2θ = 46.1°, I = 505
2θ = 24.5°, I = 273
2θ = 20.6°, I = 270
2θ = 29.5°, I = 267
2θ = 61.0°, I = 266
2θ = 54.2°, I = 235
2θ = 26.4°, I = 234

```
8
Lattice="4.782 -4.783 0.000 4.782 4.783 0.000 0.000 0.000 4.318" Properties=species:S:1:pos:R:3 pbc="T T T"
Dy 0.000 0.000 0.000
Y 4.782 0.000 1.763
Ag 2.391 2.392 0.881
Ag 2.391 -2.392 0.881
Se 4.782 2.854 2.104
Se 2.848 0.000 3.975
Se 6.716 0.000 3.975
Se 4.782 -2.854 2.104
```

=====

Entry 6:
Theoretical powder X-ray diffraction pattern of DyAg6Sn for Cu Kα X-rays, from a cell relaxed with PBE.
Lines closer than 0.1° are merged.

Principal peaks in the range 2θ from 5° to 70°, by intensity:
2θ = 39.0°, I = 1000
2θ = 38.8°, I = 570
2θ = 36.0°, I = 438
2θ = 34.4°, I = 280
2θ = 66.8°, I = 195
2θ = 50.7°, I = 182
2θ = 61.3°, I = 169
2θ = 66.6°, I = 110
2θ = 34.1°, I = 95
2θ = 61.9°, I = 86
2θ = 50.5°, I = 61
2θ = 28.8°, I = 23

```
8
Lattice="4.985 0.000 0.000 0.000 5.999 0.000 0.000 0.000 5.251" Properties=species:S:1:pos:R:3 pbc="T T T"
Dy 0.000 0.000 0.000
Ag 0.000 1.537 2.625
Ag 0.000 2.999 0.073
Ag 0.000 4.462 2.625
Ag 2.493 0.000 3.466
Ag 2.493 1.508 0.970
Ag 2.493 4.491 0.970
Sn 2.493 2.999 3.651
```

=====

Entry 7:
Theoretical powder X-ray diffraction pattern of TbDy2Ag4Sn4 for Cu Kα X-rays, from a cell relaxed with PBE.
Lines closer than 0.1° are merged.

Principal peaks in the range 2θ from 5° to 70°, by intensity:
2θ = 31.8°, I = 1000
2θ = 32.9°, I = 660
2θ = 39.5°, I = 343
2θ = 43.3°, I = 261
2θ = 40.9°, I = 206
2θ = 35.3°, I = 155
2θ = 58.2°, I = 144
2θ = 36.0°, I = 140
2θ = 65.2°, I = 135
2θ = 51.5°, I = 113
2θ = 43.6°, I = 112
2θ = 66.9°, I = 93

```
11
Lattice="-2.281 3.673 7.636 2.281 -3.673 7.636 2.281 3.673 -7.636" Properties=species:S:1:pos:R:3 pbc="T T T"
Tb 0.000 0.000 0.000
Dy 2.281 0.000 5.694
Dy 0.000 3.673 1.942
Ag 2.281 1.460 -2.618
Ag 2.281 1.460 2.618
Ag 0.000 2.212 5.017
Ag 0.000 2.212 10.254
Sn 0.000 0.000 3.276
Sn 2.281 2.229 0.000
Sn 0.000 1.444 7.636
Sn 0.000 0.000 11.995
```

=====

Entry 8:
Theoretical powder X-ray diffraction pattern of DyAgSnTe3 for Cu Kα X-rays, from a cell relaxed with PBE.
Lines closer than 0.1° are merged.

Principal peaks in the range 2θ from 5° to 70°, by intensity:
2θ = 32.0°, I = 1000
2θ = 28.7°, I = 512
2θ = 32.1°, I = 299
2θ = 41.9°, I = 264
2θ = 40.1°, I = 201
2θ = 26.9°, I = 199
2θ = 40.5°, I = 175
2θ = 49.6°, I = 170
2θ = 32.4°, I = 148
2θ = 12.0°, I = 143
2θ = 59.4°, I = 142
2θ = 53.8°, I = 138

```
12
Lattice="2.155 -7.367 0.000 2.155 7.367 0.000 0.000 0.000 11.152" Properties=species:S:1:pos:R:3 pbc="T T T"
Dy 0.000 0.000 0.000
Dy 0.000 0.000 5.576
Ag 2.155 0.412 8.364
Ag 2.155 -0.412 2.788
Sn 2.155 3.982 2.788
Sn 2.155 -3.982 8.364
Te 2.155 5.939 8.364
Te 2.155 2.175 6.191
Te 2.155 2.175 10.538
Te 2.155 -2.175 0.615
Te 2.155 -2.175 4.961
Te 2.155 -5.939 2.788
```

=====

Entry 9:
Theoretical powder X-ray diffraction pattern of DyY2Ag4Sn4 for Cu Kα X-rays, from a cell relaxed with PBE.
Lines closer than 0.1° are merged.

Principal peaks in the range 2θ from 5° to 70°, by intensity:
2θ = 31.8°, I = 1000
2θ = 32.9°, I = 589
2θ = 43.3°, I = 401
2θ = 39.5°, I = 367
2θ = 35.3°, I = 240
2θ = 40.9°, I = 209
2θ = 43.6°, I = 148
2θ = 58.1°, I = 144
2θ = 65.2°, I = 115
2θ = 53.9°, I = 114
2θ = 51.5°, I = 106
2θ = 36.0°, I = 97

```
11
Lattice="-2.284 3.672 7.634 2.284 -3.672 7.634 2.284 3.672 -7.634" Properties=species:S:1:pos:R:3 pbc="T T T"
Dy 0.000 0.000 0.000
Y 2.284 0.000 5.694
Y 0.000 3.672 1.940
Ag 2.284 1.458 -2.618
Ag 2.284 1.458 2.618
Ag 0.000 2.214 5.016
Ag 0.000 2.214 10.252
Sn 0.000 0.000 3.281
Sn 2.284 2.230 0.000
Sn 0.000 1.442 7.634
Sn 0.000 0.000 11.987
```

=====

Entry 10:
Theoretical powder X-ray diffraction pattern of TbDyAg6 for Cu Kα X-rays, from a cell relaxed with PBE.
Lines closer than 0.1° are merged.

Principal peaks in the range 2θ from 5° to 70°, by intensity:
2θ = 38.6°, I = 1000
2θ = 38.9°, I = 546
2θ = 35.8°, I = 432
2θ = 34.0°, I = 279
2θ = 66.2°, I = 194
2θ = 50.2°, I = 180
2θ = 61.4°, I = 165
2θ = 66.4°, I = 110
2θ = 34.4°, I = 90
2θ = 60.6°, I = 89
2θ = 50.5°, I = 59
2θ = 28.7°, I = 23

```
8
Lattice="5.019 0.000 0.000 0.000 6.110 0.000 0.000 0.000 5.212" Properties=species:S:1:pos:R:3 pbc="T T T"
Tb 0.000 0.000 0.000
Dy 2.510 3.055 3.612
Ag 0.000 1.555 2.634
Ag 0.000 3.055 0.114
Ag 0.000 4.556 2.634
Ag 2.510 0.000 3.496
Ag 2.510 1.504 0.979
Ag 2.510 4.607 0.979
```

=====

Entry 11:
Theoretical powder X-ray diffraction pattern of TbDyAg2Te4 for Cu Kα X-rays, from a cell relaxed with PBE.
Lines closer than 0.1° are merged.

Principal peaks in the range 2θ from 5° to 70°, by intensity:
2θ = 25.8°, I = 1000
2θ = 33.9°, I = 832
2θ = 35.7°, I = 781
2θ = 42.6°, I = 574
2θ = 31.4°, I = 511
2θ = 42.2°, I = 385
2θ = 28.0°, I = 282
2θ = 53.1°, I = 200
2θ = 44.6°, I = 190
2θ = 51.3°, I = 181
2θ = 68.6°, I = 167
2θ = 56.4°, I = 161

```
8
Lattice="5.032 -5.034 0.000 5.032 5.034 0.000 0.000 0.000 4.734" Properties=species:S:1:pos:R:3 pbc="T T T"
Tb 0.000 0.000 0.000
Dy 5.032 0.000 2.873
Ag 2.516 2.517 3.803
Ag 2.516 -2.517 3.803
Te 2.031 0.000 2.447
Te 5.032 2.028 0.426
Te 5.032 -2.028 0.426
Te 8.034 0.000 2.447
```

=====

Entry 12:
Theoretical powder X-ray diffraction pattern of DyYAg2Te4 for Cu Kα X-rays, from a cell relaxed with PBE.
Lines closer than 0.1° are merged.

Principal peaks in the range 2θ from 5° to 70°, by intensity:
2θ = 25.9°, I = 1000
2θ = 35.7°, I = 635
2θ = 34.0°, I = 580
2θ = 42.7°, I = 450
2θ = 31.5°, I = 450
2θ = 42.2°, I = 307
2θ = 28.1°, I = 286
2θ = 44.6°, I = 200
2θ = 46.1°, I = 178
2θ = 53.1°, I = 175
2θ = 61.5°, I = 143
2θ = 51.4°, I = 141

```
8
Lattice="5.028 -5.029 0.000 5.028 5.029 0.000 0.000 0.000 4.729" Properties=species:S:1:pos:R:3 pbc="T T T"
Dy 0.000 0.000 0.000
Y 5.028 0.000 1.860
Ag 2.514 2.514 0.930
Ag 2.514 -2.514 0.930
Te 5.028 3.002 2.285
Te 3.000 0.000 4.303
Te 7.056 0.000 4.303
Te 5.028 -3.002 2.285
```

=====

Entry 13:
Theoretical powder X-ray diffraction pattern of Dy4YAg5 for Cu Kα X-rays, from a cell relaxed with PBE.
Lines closer than 0.1° are merged.

Principal peaks in the range 2θ from 5° to 70°, by intensity:
2θ = 35.0°, I = 1000
2θ = 62.9°, I = 236
2θ = 62.7°, I = 118
2θ = 50.4°, I = 116
2θ = 50.2°, I = 59
2θ = 24.6°, I = 20
2θ = 9.7°, I = 9
2θ = 56.9°, I = 7
2θ = 43.2°, I = 7

```
10
Lattice="3.620 0.000 0.000 0.000 3.620 0.000 0.000 0.000 18.162" Properties=species:S:1:pos:R:3 pbc="T T T"
Dy 0.000 0.000 1.814
Dy 0.000 0.000 5.443
Dy 0.000 0.000 12.719
Dy 0.000 0.000 16.348
Y 0.000 0.000 9.081
Ag 1.810 1.810 0.000
Ag 1.810 1.810 3.631
Ag 1.810 1.810 7.249
Ag 1.810 1.810 10.914
Ag 1.810 1.810 14.531
```

=====

Entry 14:
Theoretical powder X-ray diffraction pattern of ErAg2 for Cu Kα X-rays, from a cell relaxed with PBE.
Lines closer than 0.1° are merged.

Principal peaks in the range 2θ from 5° to 70°, by intensity:
2θ = 38.3°, I = 1000
2θ = 34.3°, I = 676
2θ = 64.1°, I = 422
2θ = 49.3°, I = 237
2θ = 60.7°, I = 62
2θ = 26.0°, I = 53
2θ = 19.4°, I = 20
2θ = 56.6°, I = 15
2θ = 39.7°, I = 14
2θ = 53.2°, I = 11
2θ = 53.5°, I = 7
2θ = 64.9°, I = 6

```
6
Lattice="3.693 0.000 0.000 0.000 3.693 0.000 0.000 0.000 9.152" Properties=species:S:1:pos:R:3 pbc="T T T"
Er 0.000 0.000 0.000
Er 1.847 1.847 4.572
Ag 0.000 0.000 3.011
Ag 0.000 0.000 6.099
Ag 1.847 1.847 1.545
Ag 1.847 1.847 7.608
```